[1]
Starting from a structure optimized by DFT (GGA-PBE), the X-ray diffraction stick pattern of Ac5Zn2Sb was calculated for Cu Kα, 1.54184 Å.
Intensities are scaled so that the largest is 100.

Structural model:
Cell: 8.956 8.956 13.911 Å, 90.00 90.00 90.00°
Space group I4/mcm (No. 140)
Symmetry-distinct sites (fractional):
Ac  0.000  0.000  0.000 (multiplicity 4)
Ac  0.156  0.344  0.144 (multiplicity 16)
Zn  0.138  0.362  0.500 (multiplicity 8)
Sb  0.000  0.000  0.250 (multiplicity 4)

Principal peaks in the range 15° ≤ 2θ ≤ 90°, in order of falling intensity:
(hkl), d/Å, I_rel
2 1 3, 3.031, 100.0
3 1 0, 2.832, 64.6
2 1 1, 3.849, 32.5
2 0 4, 2.747, 27.3
1 1 4, 3.048, 26.4
5 2 3, 1.566, 26.1
3 3 4, 1.805, 21.1
4 0 4, 1.883, 14.5
4 1 3, 1.967, 14.4
2 1 7, 1.780, 13.7
2 2 0, 3.167, 11.8
3 1 8, 1.482, 10.9



[2]
Starting from a structure optimized by DFT (GGA-PBE), the X-ray diffraction stick pattern of Ac7La12Pm was calculated for Cu Kα, 1.54184 Å.
Intensities are scaled so that the largest is 100.

Structural model:
Cell: 20.4147 20.4147 6.7083 Å, 90.00 90.00 120.00°
Space group R-3 (No. 148, hexagonal axes)
Symmetry-distinct sites (fractional):
Ac  0.0000  0.0000  0.0000 (multiplicity 3)
Ac  0.0862  0.1720  0.2930 (multiplicity 18)
La  0.0001  0.4046  0.0012 (multiplicity 18)
La  0.0913  0.5460  0.4684 (multiplicity 18)
Pm  0.0000  0.0000  0.5000 (multiplicity 3)

Principal peaks in the range 15° ≤ 2θ ≤ 90°, in order of falling intensity:
(hkl), d/Å, I_rel
0 5 1, 3.130, 100.0
3 3 0, 3.402, 44.7
5 2 0, 2.831, 29.7
5 0 2, 2.433, 27.8
4 -1 2, 2.768, 27.8
7 0 1, 2.364, 24.4
4 0 1, 3.691, 20.9
0 1 2, 3.295, 19.1
0 7 2, 2.018, 17.4
5 5 0, 2.041, 16.0
6 -1 1, 2.870, 15.6
7 -5 3, 1.755, 14.1



[3]
Starting from a structure optimized by DFT (GGA-PBE), the X-ray diffraction stick pattern of CaTi4O9 was calculated for Cu Kα, 1.54184 Å.
Intensities are scaled so that the largest is 100.

Structural model:
Cell: 8.532 8.532 5.067 Å, 90.00 90.00 90.00°
Space group P4/n (No. 85, origin choice 2)
Symmetry-distinct sites (fractional):
Ca  0.250  0.250  0.147 (multiplicity 2)
Ti  0.035  0.659  0.372 (multiplicity 8)
O  0.005  0.321  0.950 (multiplicity 8)
O  0.043  0.144  0.473 (multiplicity 8)
O  0.250  0.750  0.500 (multiplicity 2)

Principal peaks in the range 15° ≤ 2θ ≤ 90°, in order of falling intensity:
(hkl), d/Å, I_rel
2 1 1, 3.048, 100.0
0 0 1, 5.067, 43.7
1 3 0, 2.698, 43.0
4 2 0, 1.908, 35.6
3 4 1, 1.617, 20.6
2 1 2, 2.111, 18.9
1 1 1, 3.880, 16.4
4 2 1, 1.786, 14.2
1 3 3, 1.432, 11.5
2 1 3, 1.544, 10.2
5 0 2, 1.415, 9.4
2 0 1, 3.263, 8.5